# 1
Diffraction record for Sc3IrC4. The powder XRD pattern is simulated, not measured: it uses DFT lattice parameters and positions (GGA-PBE) and Cu Kα X-rays.
Neutral-atom scattering factors, no anomalous dispersion.

Principal peaks in the range 5° ≤ 2θ ≤ 70°, low angle first:
d (Å)  two_theta  intensity
6.122  14.5  68
4.172  21.3  52
3.339  26.7  24
3.061  29.2  18
2.644  33.9  24
2.496  36.0  100
2.219  40.7  18
2.144  42.1  21
2.039  44.4  50
1.796  50.8  14
1.735  52.8  12
1.700  53.9  19

Crystal structure
```
data_Sc3IrC4
_chemical_formula_sum 'Sc6 Ir2 C8'
_symmetry_space_group_name_H-M 'I m m m'
_symmetry_Int_Tables_number 71
_symmetry_space_group_name_Hall '-I 2 2'
_cell_length_a 3.4705
_cell_length_b 4.4373
_cell_length_c 12.2450
_cell_angle_alpha 90.00
_cell_angle_beta 90.00
_cell_angle_gamma 90.00
loop_
_atom_site_label
_atom_site_type_symbol
_atom_site_fract_x
_atom_site_fract_y
_atom_site_fract_z
Sc1 Sc 0.0000 0.0000 0.0000
Sc2 Sc 0.0000 0.5000 0.1905
Ir1 Ir 0.0000 0.0000 0.5000
C1 C 0.0000 0.3366 0.3725
```

# 2
Diffraction record for Co3W. The powder XRD pattern is simulated, not measured: it uses DFT lattice parameters and positions (GGA-PBE) and Cu Kα X-rays.
Neutral-atom scattering factors, no anomalous dispersion.

Principal peaks in the range 5° ≤ 2θ ≤ 70°, low angle first:
d (Å)  two_theta  intensity
3.602  24.7  34
2.547  35.2  28
2.080  43.5  100
1.801  50.7  47
1.611  57.2  15
1.471  63.2  11

Crystal structure
```
data_Co3W
_chemical_formula_sum 'Co3 W1'
_symmetry_space_group_name_H-M 'P m -3 m'
_symmetry_Int_Tables_number 221
_symmetry_space_group_name_Hall '-P 4 2 3'
_cell_length_a 3.6025
_cell_length_b 3.6025
_cell_length_c 3.6025
_cell_angle_alpha 90.00
_cell_angle_beta 90.00
_cell_angle_gamma 90.00
loop_
_atom_site_label
_atom_site_type_symbol
_atom_site_fract_x
_atom_site_fract_y
_atom_site_fract_z
Co1 Co 0.0000 0.0000 0.5000
W1 W 0.5000 0.5000 0.5000
```